# BaCdP2O7
Simulated X-ray diffraction stick pattern, λ = 1.5418 Å (Cu Kα). Input: a structure optimized by DFT (GGA-PBE).
Lines closer than 0.1° are merged.

Crystal structure
a b c (Å): 5.7375 7.1798 7.7723
angles (deg): 78.44 89.47 86.32
Space group P-1 (No. 2)
Symmetry-distinct sites (fractional):
Ba  0.2358  0.2350  0.4389 (multiplicity 2)
Cd  0.2099  0.3475  0.9011 (multiplicity 2)
P  0.2819  0.7332  0.2968 (multiplicity 2)
P  0.2818  0.8315  0.9044 (multiplicity 2)
O  0.0691  0.6089  0.3136 (multiplicity 2)
O  0.0936  0.6867  0.8922 (multiplicity 2)
O  0.2304  0.0263  0.7893 (multiplicity 2)
O  0.2682  0.8716  0.1044 (multiplicity 2)
O  0.2718  0.8613  0.4316 (multiplicity 2)
O  0.4728  0.2599  0.1196 (multiplicity 2)
O  0.4893  0.3933  0.6904 (multiplicity 2)

Largest 8 diffraction maxima, most intense first, 2θ = 10–80°:
| d [Å] | 2θ (°) | I_rel | (hkl) |
| --- | --- | --- | --- |
| 3.165 | 28.20 | 100.0 | 1 0 2 |
| 3.047 | 29.31 | 87.0 | -1 1 2 |
| 3.510 | 25.38 | 85.7 | 0 2 0 |
| 2.863 | 31.24 | 80.9 | 2 0 0 |
| 3.176 | 28.10 | 73.6 | 1 0 -2 |
| 4.582 | 19.37 | 70.9 | 1 1 0 |
| 2.291 | 39.32 | 66.6 | 2 1 2 |
| 2.885 | 31.00 | 64.7 | -1 2 1 |